Starting from a GGA-PBE-relaxed structure, the X-ray powder pattern of Ni2C was computed for Cu Ka.
Peak positions follow from Bragg's law for the DFT cell and can differ from measured ones.

Main lines, sorted by position (10 to 90 degrees two-theta):
2θ (°)	d/Å	I (rel.)
36.21	2.481	15.3
42.44	2.130	100.0
43.57	2.077	23.3
44.13	2.052	38.3
57.90	1.593	12.6
67.66	1.385	16.3
79.22	1.209	11.3
80.45	1.194	11.6
80.87	1.189	11.3
84.00	1.152	12.0

Atomic structure:
```
data_Ni2C
_chemical_formula_sum 'Ni4 C2'
_space_group_name_H-M_alt 'P n n m'
_space_group_IT_number 58
_space_group_name_Hall '-P 2 2n'
_cell_length_a 4.1544
_cell_length_b 4.7200
_cell_length_c 2.9162
_cell_angle_alpha 90.00
_cell_angle_beta 90.00
_cell_angle_gamma 90.00
loop_
_atom_site_label
_atom_site_type_symbol
_atom_site_fract_x
_atom_site_fract_y
_atom_site_fract_z
Ni1 Ni 0.2253 0.1732 0.0000
C1 C 0.0000 0.0000 0.5000
```